Structure and computed X-ray powder pattern of Tl5Cd2Hg5 (a cell relaxed with GGA-PBE; Cu Kα, 1.54184 Å).

Principal peaks in the range 2θ from 10° to 90°, sorted by position:
- 2θ 29.9, I = 100
- 2θ 31.5, I = 90
- 2θ 34.3, I = 66
- 2θ 34.6, I = 23
- 2θ 36.1, I = 62
- 2θ 46.1, I = 44

Cell and atoms:
```
12
Lattice="5.475 -2.617 0.000 5.475 2.617 0.000 -4.813 0.000 11.952" Properties=species:S:1:pos:R:3 pbc="T T T"
Tl 0.000 0.000 0.000
Tl 1.357 0.000 5.908
Tl 3.075 0.000 2.703
Tl 3.063 0.000 9.249
Tl 4.781 0.000 6.044
Cd -0.450 0.000 8.666
Cd 6.587 0.000 3.286
Hg -2.407 0.000 5.976
Hg -0.554 0.000 3.175
Hg -1.236 0.000 11.536
Hg 7.373 0.000 0.416
Hg 6.692 0.000 8.777
```

Structure and computed X-ray powder pattern of Tl2CdHg3 (a cell relaxed with GGA-PBE; Cu Kα, 1.54184 Å).

Principal peaks in the range 2θ from 10° to 90°, sorted by position:
- 2θ 29.9, I = 78
- 2θ 30.2, I = 100
- 2θ 31.0, I = 72
- 2θ 34.6, I = 74
- 2θ 37.1, I = 61
- 2θ 46.4, I = 47

Cell and atoms:
```
12
Lattice="4.575 -5.973 0.000 4.575 5.973 0.000 0.000 0.000 6.291" Properties=species:S:1:pos:R:3 pbc="T T T"
Tl 1.630 1.260 0.000
Tl 1.630 -1.260 3.146
Tl 7.519 1.260 0.000
Tl 7.519 -1.260 3.146
Cd 4.575 1.741 4.657
Cd 4.575 -1.741 1.512
Hg 1.542 1.875 3.174
Hg 1.542 -1.875 0.029
Hg 4.575 1.365 1.664
Hg 4.575 -1.365 4.809
Hg 7.607 1.875 3.174
Hg 7.607 -1.875 0.029
```

Structure and computed X-ray powder pattern of TlCd7Hg4 (a cell relaxed with GGA-PBE; Cu Kα, 1.54184 Å).

Principal peaks in the range 2θ from 10° to 90°, sorted by position:
- 2θ 33.1, I = 100
- 2θ 35.8, I = 87
- 2θ 49.6, I = 32
- 2θ 57.4, I = 18
- 2θ 62.7, I = 31
- 2θ 64.4, I = 15

Cell and atoms:
```
12
Lattice="5.012 0.000 0.000 -2.506 4.341 0.000 0.000 0.000 13.835" Properties=species:S:1:pos:R:3 pbc="T T T"
Tl 0.000 0.000 0.000
Cd 0.000 0.000 3.640
Cd 0.000 0.000 6.917
Cd 0.000 0.000 10.195
Cd 0.000 2.894 9.129
Cd 0.000 2.894 12.329
Cd 2.506 1.447 1.506
Cd 2.506 1.447 4.706
Hg 0.000 2.894 2.254
Hg 0.000 2.894 5.769
Hg 2.506 1.447 8.066
Hg 2.506 1.447 11.581
```

Structure and computed X-ray powder pattern of Tl4Cd2Hg3 (a cell relaxed with GGA-PBE; Cu Kα, 1.54184 Å).

Principal peaks in the range 2θ from 10° to 90°, sorted by position:
- 2θ 30.7, I = 52
- 2θ 31.0, I = 61
- 2θ 33.5, I = 51
- 2θ 34.1, I = 100
- 2θ 38.0, I = 31
- 2θ 40.3, I = 27

Cell and atoms:
```
18
Lattice="8.118 -5.773 0.000 8.118 5.773 0.000 -1.041 0.000 5.404" Properties=species:S:1:pos:R:3 pbc="T T T"
Tl 5.973 4.420 5.326
Tl 4.604 1.243 0.577
Tl 8.701 4.420 2.780
Tl 4.083 -1.243 3.279
Tl 11.111 1.243 2.125
Tl 6.494 -4.420 2.624
Tl 10.591 -1.243 4.827
Tl 9.222 -4.420 0.078
Cd 5.851 1.549 3.669
Cd 8.823 1.549 4.438
Cd 6.371 -1.549 0.966
Cd 9.344 -1.549 1.736
Hg 2.307 1.640 3.047
Hg 2.828 -1.640 0.345
Hg 7.858 1.361 1.351
Hg 7.337 -1.361 4.053
Hg 12.367 1.640 5.060
Hg 12.887 -1.640 2.357
```